1.
Structure and simulated PXRD pattern of Ho2CdIn (a structure optimized by DFT (GGA-PBE); Cu Kα (weighted mean of Kα1 and Kα2)).
Kinematic intensities with the Lorentz-polarization factor, no thermal factor.

Most intense lines, 15 to 90 degrees two-theta, sorted by position:
d [Å]  2θ/deg  I_rel  h k l
3.738  23.8  3  2 0 0
2.643  33.9  100  2 2 0
2.158  41.9  1  2 2 2
1.869  48.7  18  4 0 0
1.672  54.9  2  4 2 0
1.526  60.7  37  4 2 2
1.322  71.4  11  4 4 0
1.246  76.4  1  6 0 0
1.182  81.4  16  6 2 0
1.127  86.3  1  6 2 2

Structural model:
```
Ho2CdIn
1.0
7.476 0.000 0.000
0.000 7.476 0.000
0.000 0.000 7.476
Ho Cd In
8 4 4
Direct
0.250 0.250 0.250
0.250 0.250 0.750
0.250 0.750 0.250
0.250 0.750 0.750
0.750 0.250 0.250
0.750 0.250 0.750
0.750 0.750 0.250
0.750 0.750 0.750
0.000 0.000 0.000
0.000 0.500 0.500
0.500 0.000 0.500
0.500 0.500 0.000
0.000 0.000 0.500
0.000 0.500 0.000
0.500 0.000 0.000
0.500 0.500 0.500
```

---

2.
Structure and simulated PXRD pattern of HoLuCd2 (a structure optimized by DFT (GGA-PBE); Cu Kα (weighted mean of Kα1 and Kα2)).
Kinematic intensities with the Lorentz-polarization factor, no thermal factor.

Most intense lines, 15 to 90 degrees two-theta, sorted by position:
d [Å]  2θ/deg  I_rel  h k l
3.706  24.0  4  2 0 0
2.621  34.2  100  2 2 0
2.140  42.2  1  2 2 2
1.853  49.2  18  4 0 0
1.657  55.4  2  4 2 0
1.513  61.3  36  4 2 2
1.310  72.1  11  4 4 0
1.235  77.2  1  6 0 0
1.172  82.3  16  6 2 0
1.117  87.2  1  6 2 2

Structural model:
```
HoLuCd2
1.0
7.412 0.000 0.000
0.000 7.412 0.000
0.000 0.000 7.412
Ho Lu Cd
4 4 8
Direct
0.000 0.000 0.000
0.000 0.500 0.500
0.500 0.000 0.500
0.500 0.500 0.000
0.000 0.000 0.500
0.000 0.500 0.000
0.500 0.000 0.000
0.500 0.500 0.500
0.250 0.250 0.250
0.250 0.250 0.750
0.250 0.750 0.250
0.250 0.750 0.750
0.750 0.250 0.250
0.750 0.250 0.750
0.750 0.750 0.250
0.750 0.750 0.750
```